Simulated powder diffractogram
Compound: Pm6Tm3Pu
Radiation: CuKα
Structure: a crystal structure in Alexandria, relaxed with PBE
Peak positions follow from Bragg's law for the DFT cell and can differ from measured ones.

Atomic structure:
```
data_Pm6Tm3Pu
_symmetry_space_group_name_H-M 'P 1'
_symmetry_Int_Tables_number 1
_cell_length_a 6.108
_cell_length_b 9.340
_cell_length_c 12.866
_cell_angle_alpha 90.00
_cell_angle_beta 116.70
_cell_angle_gamma 90.00
loop_
_symmetry_equiv_pos_as_xyz
'x,y,z'
loop_
_atom_site_label
_atom_site_fract_x
_atom_site_fract_y
_atom_site_fract_z
_atom_site_occupancy
Pm1 0.069 0.162 0.074 1
Pm2 0.069 0.338 0.574 1
Pm3 0.375 0.018 0.743 1
Pm4 0.375 0.482 0.243 1
Pm5 0.416 0.160 0.429 1
Pm6 0.416 0.340 0.929 1
Pm7 0.584 0.660 0.071 1
Pm8 0.584 0.840 0.571 1
Pm9 0.625 0.518 0.757 1
Pm10 0.625 0.982 0.257 1
Pm11 0.931 0.662 0.426 1
Pm12 0.931 0.838 0.926 1
Tm1 0.131 0.667 0.748 1
Tm2 0.131 0.833 0.248 1
Tm3 0.500 0.000 0.000 1
Tm4 0.500 0.500 0.500 1
Tm5 0.869 0.167 0.752 1
Tm6 0.869 0.333 0.252 1
Pu1 0.000 0.000 0.500 1
Pu2 0.000 0.500 0.000 1
```

Principal peaks in the range 15 to 90 degrees two-theta, by angle:
2θ (°)	I (rel.)	h k l
25.36	14	1 2 -2
28.79	32	1 1 2
29.26	32	2 0 -2
29.47	30	1 1 -4
30.17	45	0 2 3
31.12	21	0 0 4
32.02	15	2 1 -3
32.28	100	1 3 -1
36.20	15	1 1 -5
56.71	22	3 3 -5